[1]
This entry pairs a crystal structure of Dy2LuAu with its computed powder XRD pattern. Radiation: λ = 1.5418 Å (Cu Kα). Structure: the PBE geometry in Alexandria.
Intensities are scaled so that the largest is 100.

Top 10 peaks for 10 to 80 degrees two-theta, by angle:
10.49°, intensity 8; 32.77°, intensity 100; 35.36°, intensity 46; 40.77°, intensity 7; 42.91°, intensity 9; 50.87°, intensity 16; 56.77°, intensity 15; 61.84°, intensity 33; 68.68°, intensity 9; 74.80°, intensity 5

Atomic structure:
```
Dy2LuAu
1.0
3.5900 0.0000 0.0000
0.0000 3.5900 0.0000
0.0000 0.0000 8.4314
Dy Lu Au
2 1 1
direct
0.0000 0.0000 0.2116
0.0000 0.0000 0.7884
0.5000 0.5000 0.5000
0.5000 0.5000 0.0000
```

---

[2]
This entry pairs a crystal structure of DyMg3Au with its computed powder XRD pattern. Radiation: λ = 1.5418 Å (Cu Kα). Structure: the PBE geometry in Alexandria.
Intensities are scaled so that the largest is 100.

Top 10 peaks for 10 to 80 degrees two-theta, by angle:
14.05°, intensity 34; 16.95°, intensity 75; 20.23°, intensity 31; 23.20°, intensity 31; 29.52°, intensity 75; 32.48°, intensity 100; 32.83°, intensity 41; 35.83°, intensity 38; 39.42°, intensity 38; 43.62°, intensity 29

Atomic structure:
```
DyMg3Au
1.0
9.3671 0.0000 0.0000
0.0000 3.9648 0.0000
0.0000 0.0000 12.6090
Dy Mg Au
4 12 4
direct
0.1717 0.2500 0.0071
0.3283 0.7500 0.5071
0.6717 0.2500 0.4929
0.8283 0.7500 0.9929
0.0562 0.2500 0.4147
0.0868 0.7500 0.2207
0.1607 0.7500 0.7876
0.3393 0.2500 0.2876
0.4132 0.2500 0.7207
0.4438 0.7500 0.9147
0.5562 0.2500 0.0853
0.5868 0.7500 0.2793
0.6607 0.7500 0.7124
0.8393 0.2500 0.2124
0.9132 0.2500 0.7793
0.9438 0.7500 0.5853
0.1463 0.2500 0.6265
0.3537 0.7500 0.1265
0.6463 0.2500 0.8735
0.8537 0.7500 0.3735
```

---

[3]
This entry pairs a crystal structure of DyMg2Au4 with its computed powder XRD pattern. Radiation: λ = 1.5418 Å (Cu Kα). Structure: the PBE geometry in Alexandria.
Intensities are scaled so that the largest is 100.

Top 10 peaks for 10 to 80 degrees two-theta, by angle:
24.80°, intensity 45; 27.42°, intensity 38; 27.64°, intensity 38; 37.30°, intensity 100; 37.47°, intensity 99; 39.32°, intensity 91; 47.05°, intensity 36; 66.13°, intensity 33; 69.86°, intensity 35; 70.18°, intensity 32

Atomic structure:
```
DyMg2Au4
1.0
0.0000 3.2532 7.1801
3.2275 0.0000 7.1801
3.2275 3.2532 0.0000
Dy Mg Au
1 2 4
direct
0.0000 0.0000 0.0000
0.2561 0.2561 0.7439
0.7439 0.7439 0.2561
0.1343 0.1343 0.3657
0.3657 0.3657 0.1343
0.6343 0.6343 0.8657
0.8657 0.8657 0.6343
```

---

[4]
This entry pairs a crystal structure of Nd2DyAu3 with its computed powder XRD pattern. Radiation: λ = 1.5418 Å (Cu Kα). Structure: the PBE geometry in Alexandria.
Intensities are scaled so that the largest is 100.

Top 10 peaks for 10 to 80 degrees two-theta, by angle:
24.13°, intensity 2; 34.23°, intensity 20; 34.52°, intensity 100; 49.41°, intensity 14; 49.83°, intensity 7; 61.48°, intensity 14; 61.86°, intensity 22; 62.04°, intensity 8; 72.11°, intensity 2; 72.81°, intensity 11

Atomic structure:
```
Nd2DyAu3
1.0
5.1944 0.0000 0.0000
0.0000 15.7181 0.0000
0.0000 0.0000 3.6600
Nd Dy Au
4 2 6
direct
0.2500 0.0824 0.0008
0.2500 0.4176 0.0008
0.7500 0.5824 0.9992
0.7500 0.9176 0.9992
0.2500 0.7500 0.9999
0.7500 0.2500 0.0001
0.2500 0.2500 0.4991
0.2500 0.5933 0.4986
0.2500 0.9067 0.4986
0.7500 0.0933 0.5014
0.7500 0.4067 0.5014
0.7500 0.7500 0.5009
```

---

[5]
This entry pairs a crystal structure of NdDy2Au4 with its computed powder XRD pattern. Radiation: λ = 1.5418 Å (Cu Kα). Structure: the PBE geometry in Alexandria.
Intensities are scaled so that the largest is 100.

Top 10 peaks for 10 to 80 degrees two-theta, by angle:
21.68°, intensity 7; 24.70°, intensity 9; 35.22°, intensity 53; 36.04°, intensity 100; 50.66°, intensity 19; 53.10°, intensity 8; 63.74°, intensity 39; 65.33°, intensity 18; 74.46°, intensity 6; 76.45°, intensity 11

Atomic structure:
```
NdDy2Au4
1.0
5.0966 0.0000 0.0000
0.0000 5.0966 0.0000
0.0000 0.0000 6.8988
Nd Dy Au
1 2 4
direct
0.0000 0.0000 0.0000
0.0000 0.0000 0.5000
0.5000 0.5000 0.0000
0.0000 0.5000 0.2568
0.0000 0.5000 0.7432
0.5000 0.0000 0.2568
0.5000 0.0000 0.7432
```

---

[6]
This entry pairs a crystal structure of NdDyAu4 with its computed powder XRD pattern. Radiation: λ = 1.5418 Å (Cu Kα). Structure: the PBE geometry in Alexandria.
Intensities are scaled so that the largest is 100.

Top 10 peaks for 10 to 80 degrees two-theta, by angle:
19.31°, intensity 1; 25.34°, intensity 2; 33.31°, intensity 70; 37.69°, intensity 100; 47.82°, intensity 26; 60.41°, intensity 6; 62.44°, intensity 46; 69.95°, intensity 8; 70.76°, intensity 16; 79.71°, intensity 12

Atomic structure:
```
NdDyAu4
1.0
3.8040 0.0000 0.0000
0.0000 3.8040 0.0000
0.0000 0.0000 9.1946
Nd Dy Au
1 1 4
direct
0.0000 0.0000 0.0000
0.5000 0.5000 0.5000
0.0000 0.0000 0.3398
0.0000 0.0000 0.6602
0.5000 0.5000 0.1720
0.5000 0.5000 0.8280
```

---

Please write out number 1 again, unchanged.
This entry pairs a crystal structure of Dy2LuAu with its computed powder XRD pattern. Radiation: λ = 1.5418 Å (Cu Kα). Structure: the PBE geometry in Alexandria.
Intensities are scaled so that the largest is 100.

Top 10 peaks for 10 to 80 degrees two-theta, by angle:
10.49°, intensity 8; 32.77°, intensity 100; 35.36°, intensity 46; 40.77°, intensity 7; 42.91°, intensity 9; 50.87°, intensity 16; 56.77°, intensity 15; 61.84°, intensity 33; 68.68°, intensity 9; 74.80°, intensity 5

Atomic structure:
```
Dy2LuAu
1.0
3.5900 0.0000 0.0000
0.0000 3.5900 0.0000
0.0000 0.0000 8.4314
Dy Lu Au
2 1 1
direct
0.0000 0.0000 0.2116
0.0000 0.0000 0.7884
0.5000 0.5000 0.5000
0.5000 0.5000 0.0000
```